# 1
LaYFe2Si2: theoretical powder XRD pattern (a wavelength of 1.5418 Å), based on DFT lattice parameters and positions (PBE).

Cell and atoms:
Cell lengths 4.0677, 4.0677, 6.7879 Å; angles 90.00, 90.00, 90.00 degrees
Space group P4mm (No. 99)
Inequivalent atoms, fractional coordinates:
La  0.0000  0.0000  0.0000 x1
Y  0.5000  0.5000  0.3679 x1
Fe  0.0000  0.5000  0.6668 x2
Si  0.0000  0.0000  0.5007 x1
Si  0.5000  0.5000  0.8355 x1

Peak list (10 most intense, 15° ≤ 2θ ≤ 90°, by angle)
| hkl | 2theta | d [Å] | intensity |
| --- | --- | --- | --- |
| 1 0 1 | 25.5 | 3.489 | 100 |
| 1 1 0 | 31.1 | 2.876 | 33 |
| 1 1 1 | 33.8 | 2.648 | 68 |
| 1 0 2 | 34.4 | 2.606 | 88 |
| 1 1 2 | 41.1 | 2.194 | 97 |
| 2 0 0 | 44.5 | 2.034 | 70 |
| 2 1 1 | 52.0 | 1.757 | 29 |
| 2 1 2 | 57.5 | 1.603 | 39 |
| 1 0 4 | 59.0 | 1.566 | 28 |
| 3 1 2 | 79.7 | 1.203 | 26 |


# 2
PrZr: theoretical powder XRD pattern (a wavelength of 1.5418 Å), based on DFT lattice parameters and positions (PBE).

Cell and atoms:
Cell lengths 6.8425, 5.5152, 9.3681 Å; angles 90.00, 100.60, 90.00 degrees
Space group P2_1/m (No. 11)
Inequivalent atoms, fractional coordinates:
Pr  0.0219  0.2500  0.1173 x2
Pr  0.3105  0.7500  0.2491 x2
Pr  0.4615  0.7500  0.8729 x2
Zr  0.1267  0.7500  0.5536 x2
Zr  0.1775  0.2500  0.7403 x2
Zr  0.3505  0.2500  0.4608 x2

Peak list (10 most intense, 15° ≤ 2θ ≤ 90°, by angle)
| hkl | 2theta | d [Å] | intensity |
| --- | --- | --- | --- |
| 0 1 2 | 25.2 | 3.534 | 12 |
| 2 0 1 | 29.9 | 2.988 | 28 |
| 0 2 0 | 32.5 | 2.758 | 42 |
| 0 1 3 | 33.4 | 2.682 | 53 |
| 2 1 -2 | 34.1 | 2.628 | 100 |
| 2 2 1 | 44.7 | 2.027 | 18 |
| 2 0 -5 | 52.1 | 1.756 | 15 |
| 2 3 -2 | 59.0 | 1.566 | 20 |
| 2 2 4 | 62.8 | 1.480 | 13 |
| 4 1 2 | 64.6 | 1.442 | 15 |